Na8Pb2Au: theoretical PXRD pattern (CuKα), based on DFT lattice parameters and positions (PBE).
Peak positions follow from Bragg's law for the DFT cell and can differ from measured ones.

Peak list (12 most intense, 10° ≤ 2θ ≤ 80°, low angle first)
4.379 Å, rel. 91; 4.353 Å, rel. 87; 3.881 Å, rel. 55; 3.602 Å, rel. 24; 2.757 Å, rel. 31; 2.731 Å, rel. 21; 2.640 Å, rel. 100; 2.329 Å, rel. 36; 2.317 Å, rel. 29; 2.200 Å, rel. 31; 1.940 Å, rel. 17; 1.568 Å, rel. 20

Atomic structure:
```
Na8Pb2Au
1.0
8.9437 -2.7569 0.0000
8.9437 2.7569 0.0000
-2.8882 0.0000 6.6001
Na Pb Au
8 2 1
Direct
0.0003 0.0003 0.2371
0.9997 0.9997 0.7629
0.1874 0.1874 0.6894
0.3581 0.3581 0.6184
0.3596 0.3596 0.0963
0.6404 0.6404 0.9037
0.6419 0.6419 0.3816
0.8126 0.8126 0.3106
0.1828 0.1828 0.1828
0.8172 0.8172 0.8172
0.5000 0.5000 0.5000
```